Structure and computed powder diffraction line list of Pu6Fe (a DFT-relaxed cell (GGA-PBE, Alexandria); Cu Kα (λ = 1.5418 Å)).
Peak positions follow from Bragg's law for the DFT cell and can differ from measured ones.

Structure:
Lattice parameters (Å, degrees): 7.6621 7.6621 7.6621 97.58 97.58 137.41
Element x y z (fractional)
Pu (0.0854, 0.7756, 0.8610)
Pu (0.0980, 0.4020, 0.5000)
Pu (0.2244, 0.0854, 0.3098)
Pu (0.2756, 0.5854, 0.8610)
Pu (0.4020, 0.9020, 0.3040)
Pu (0.4146, 0.2756, 0.6902)
Pu (0.5854, 0.7244, 0.3098)
Pu (0.5980, 0.0980, 0.6960)
Pu (0.7244, 0.4146, 0.1390)
Pu (0.7756, 0.9146, 0.6902)
Pu (0.9020, 0.5980, 0.5000)
Pu (0.9146, 0.2244, 0.1390)
Fe (0.2500, 0.2500, 0.0000)
Fe (0.7500, 0.7500, 0.0000)

Top 10 peaks for 10 to 90 degrees two-theta, sorted by position:
32.17°, I = 34; 35.90°, I = 100; 40.24°, I = 11; 45.83°, I = 13; 54.54°, I = 10; 57.09°, I = 9; 59.80°, I = 24; 64.74°, I = 15; 74.73°, I = 11; 83.67°, I = 17

=====

Structure and computed powder diffraction line list of Rb3Pu3FeS8 (a DFT-relaxed cell (GGA-PBE, Alexandria); Cu Kα (λ = 1.5418 Å)).
Peak positions follow from Bragg's law for the DFT cell and can differ from measured ones.

Structure:
Lattice parameters (Å, degrees): 8.0078 8.0078 9.0660 116.56 116.56 59.26
Element x y z (fractional)
Rb (0.0000, 0.0000, 0.0000)
Rb (0.0000, 0.5000, 0.0000)
Rb (0.5000, 0.0000, 0.0000)
Pu (0.0000, 0.5000, 0.5000)
Pu (0.5000, 0.0000, 0.5000)
Pu (0.5000, 0.5000, 0.5000)
Fe (0.0000, 0.0000, 0.5000)
S (0.2137, 0.7485, 0.6745)
S (0.2225, 0.2225, 0.6794)
S (0.2515, 0.7863, 0.3255)
S (0.2681, 0.2681, 0.3071)
S (0.7319, 0.7319, 0.6929)
S (0.7485, 0.2137, 0.6745)
S (0.7775, 0.7775, 0.3206)
S (0.7863, 0.2515, 0.3255)

Top 10 peaks for 10 to 90 degrees two-theta, sorted by position:
11.38°, I = 100; 14.90°, I = 28; 22.88°, I = 39; 26.71°, I = 22; 27.03°, I = 42; 29.94°, I = 44; 30.13°, I = 85; 40.59°, I = 32; 45.30°, I = 29; 47.03°, I = 16

=====

Structure and computed powder diffraction line list of Pu6FeRh3 (a DFT-relaxed cell (GGA-PBE, Alexandria); Cu Kα (λ = 1.5418 Å)).
Peak positions follow from Bragg's law for the DFT cell and can differ from measured ones.

Structure:
Lattice parameters (Å, degrees): 6.4822 6.4822 12.7207 90.00 90.00 120.00
Element x y z (fractional)
Pu (0.0308, 0.3441, 0.3598)
Pu (0.0308, 0.6867, 0.1402)
Pu (0.3133, 0.3441, 0.1402)
Pu (0.3133, 0.9692, 0.3598)
Pu (0.3441, 0.0308, 0.6402)
Pu (0.3441, 0.3133, 0.8598)
Pu (0.6559, 0.6867, 0.3598)
Pu (0.6559, 0.9692, 0.1402)
Pu (0.6867, 0.0308, 0.8598)
Pu (0.6867, 0.6559, 0.6402)
Pu (0.9692, 0.3133, 0.6402)
Pu (0.9692, 0.6559, 0.8598)
Fe (0.3333, 0.6667, 0.7500)
Fe (0.6667, 0.3333, 0.2500)
Rh (0.0000, 0.0000, 0.0000)
Rh (0.0000, 0.0000, 0.5000)
Rh (0.3333, 0.6667, 0.5216)
Rh (0.3333, 0.6667, 0.9784)
Rh (0.6667, 0.3333, 0.0216)
Rh (0.6667, 0.3333, 0.4784)

Top 10 peaks for 10 to 90 degrees two-theta, sorted by position:
28.06°, I = 24; 28.42°, I = 88; 30.97°, I = 18; 34.84°, I = 100; 39.71°, I = 63; 48.66°, I = 51; 57.11°, I = 17; 58.20°, I = 30; 61.24°, I = 22; 81.85°, I = 14